KNiF3: theoretical powder diffractogram (λ = 1.5418 Å (Cu Kα)), based on a DFT-relaxed cell (PBE+U, Alexandria).
Neutral-atom scattering factors, no anomalous dispersion.

Cell and atoms:
```
data_KNiF3
_symmetry_space_group_name_H-M 'R -3'
_symmetry_Int_Tables_number 148
_symmetry_space_group_name_Hall '-R 3'
_cell_length_a 5.5591
_cell_length_b 5.5591
_cell_length_c 17.2237
_cell_angle_alpha 90.00
_cell_angle_beta 90.00
_cell_angle_gamma 120.00
loop_
_atom_site_label
_atom_site_fract_x
_atom_site_fract_y
_atom_site_fract_z
_atom_site_occupancy
K1 0.0000 0.0000 0.1383 1
Ni1 0.0000 0.0000 0.3370 1
F1 0.0071 0.3990 0.9335 1
```

The 12 most intense peaks (10° ≤ 2θ ≤ 80°), low angle first:
- 2θ = 15.43°, intensity 57, (0 0 3)
- 2θ = 21.14°, intensity 76, (0 1 2)
- 2θ = 27.80°, intensity 97, (1 0 4)
- 2θ = 32.20°, intensity 76, (1 1 0)
- 2θ = 35.90°, intensity 39, (1 1 3)
- 2θ = 43.05°, intensity 33, (0 2 4)
- 2θ = 45.42°, intensity 100, (1 1 6)
- 2θ = 54.77°, intensity 31, (2 1 4)
- 2θ = 57.42°, intensity 39, (3 0 0)
- 2θ = 58.56°, intensity 29, (2 -1 9)
- 2θ = 66.78°, intensity 18, (0 2 10)
- 2θ = 76.09°, intensity 22, (4 -2 6)